Entry 1:
Starting from the GGA-PBE geometry in Alexandria, the X-ray powder pattern of Al3Zn2Ag6 was calculated for Cu Kα.
Intensities are scaled so that the largest is 100.

abc: 24.886 24.886 24.886
angles: 6.76 6.76 6.76
Fractional coordinates of all 11 atoms:
Al 0.000 0.000 0.000
Al 0.273 0.273 0.273
Al 0.727 0.727 0.727
Zn 0.454 0.454 0.454
Zn 0.546 0.546 0.546
Ag 0.091 0.091 0.091
Ag 0.183 0.183 0.183
Ag 0.364 0.364 0.364
Ag 0.636 0.636 0.636
Ag 0.817 0.817 0.817
Ag 0.909 0.909 0.909

The 12 most intense peaks (2θ = 15–90°), sorted by position:
17.86°, 4.966 Å, rel. 15; 21.47°, 4.138 Å, rel. 15; 36.37°, 2.470 Å, rel. 10; 37.83°, 2.378 Å, rel. 100; 39.94°, 2.257 Å, rel. 28; 44.60°, 2.032 Å, rel. 61; 63.44°, 1.466 Å, rel. 20; 66.36°, 1.409 Å, rel. 17; 76.29°, 1.248 Å, rel. 12; 77.65°, 1.230 Å, rel. 22; 80.35°, 1.195 Å, rel. 10; 80.84°, 1.189 Å, rel. 10

Entry 2:
Starting from the GGA-PBE geometry in Alexandria, the X-ray powder pattern of Li2SiBiPd was calculated for Cu Kα.
Intensities are scaled so that the largest is 100.

abc: 4.705 4.705 5.109
angles: 90.00 90.00 90.00
Fractional coordinates of all 5 atoms:
Li 0.000 0.500 0.000
Li 0.500 0.000 0.000
Si 0.000 0.000 0.500
Bi 0.500 0.500 0.500
Pd 0.500 0.500 0.000

The 12 most intense peaks (2θ = 15–90°), sorted by position:
18.86°, 4.705 Å, rel. 100; 26.79°, 3.327 Å, rel. 60; 32.10°, 2.788 Å, rel. 13; 35.13°, 2.555 Å, rel. 17; 38.25°, 2.353 Å, rel. 26; 40.17°, 2.245 Å, rel. 30; 42.98°, 2.104 Å, rel. 25; 44.72°, 2.026 Å, rel. 30; 52.90°, 1.731 Å, rel. 21; 56.67°, 1.624 Å, rel. 23; 62.41°, 1.488 Å, rel. 11; 73.68°, 1.286 Å, rel. 14

Entry 3:
Starting from the GGA-PBE geometry in Alexandria, the X-ray powder pattern of PmPt8Pb3 was calculated for Cu Kα.
Intensities are scaled so that the largest is 100.

abc: 5.514 5.514 8.962
angles: 90.00 90.00 120.00
Fractional coordinates of all 12 atoms:
Pm 0.000 0.000 0.000
Pt 0.166 0.331 0.682
Pt 0.166 0.834 0.682
Pt 0.333 0.667 0.425
Pt 0.333 0.667 0.928
Pt 0.502 0.003 0.173
Pt 0.502 0.498 0.173
Pt 0.669 0.834 0.682
Pt 0.997 0.498 0.173
Pb 0.000 0.000 0.382
Pb 0.667 0.333 0.479
Pb 0.667 0.333 0.853

The 12 most intense peaks (2θ = 15–90°), sorted by position:
32.47°, 2.757 Å, rel. 26; 35.44°, 2.533 Å, rel. 61; 38.33°, 2.348 Å, rel. 100; 39.04°, 2.307 Å, rel. 85; 40.25°, 2.240 Å, rel. 21; 42.92°, 2.107 Å, rel. 20; 59.87°, 1.545 Å, rel. 26; 61.85°, 1.500 Å, rel. 25; 65.07°, 1.433 Å, rel. 31; 68.00°, 1.379 Å, rel. 29; 79.09°, 1.211 Å, rel. 13; 82.08°, 1.174 Å, rel. 16

Entry 4:
Starting from the GGA-PBE geometry in Alexandria, the X-ray powder pattern of Na3Al2Au3 was calculated for Cu Kα.
Intensities are scaled so that the largest is 100.

abc: 6.164 6.164 14.043
angles: 90.00 90.00 138.44
Fractional coordinates of all 16 atoms:
Na 0.069 0.931 0.619
Na 0.069 0.931 0.881
Na 0.376 0.624 0.750
Na 0.624 0.376 0.250
Na 0.931 0.069 0.119
Na 0.931 0.069 0.381
Al 0.220 0.780 0.083
Al 0.220 0.780 0.417
Al 0.780 0.220 0.583
Al 0.780 0.220 0.917
Au 0.312 0.688 0.250
Au 0.387 0.613 0.538
Au 0.387 0.613 0.962
Au 0.613 0.387 0.038
Au 0.613 0.387 0.462
Au 0.688 0.312 0.750

The 12 most intense peaks (2θ = 15–90°), sorted by position:
21.73°, 4.089 Å, rel. 100; 24.50°, 3.633 Å, rel. 87; 25.37°, 3.511 Å, rel. 43; 28.99°, 3.080 Å, rel. 77; 31.00°, 2.885 Å, rel. 82; 31.66°, 2.826 Å, rel. 48; 33.64°, 2.664 Å, rel. 86; 40.47°, 2.229 Å, rel. 49; 41.29°, 2.187 Å, rel. 45; 45.05°, 2.013 Å, rel. 58; 46.37°, 1.958 Å, rel. 65; 50.68°, 1.801 Å, rel. 36